Starting from DFT lattice parameters and positions (GGA-PBE), the powder XRD pattern of Cs2SbBr5Cl was calculated for copper Kα.
Peak positions follow from Bragg's law for the DFT cell and can differ from measured ones.

Structure:
```
Cs2SbBr5Cl
1.0
-3.9276 3.9276 5.6386
3.9276 -3.9276 5.6386
3.9276 3.9276 -5.6386
Cs Sb Br Cl
2 1 5 1
Cartesian
3.9276 0.0000 0.0000
0.0000 3.9276 0.0000
0.0000 0.0000 2.8194
2.0067 2.0067 -2.8098
1.9209 -1.9209 2.8289
0.0000 0.0000 0.0805
-1.9209 1.9209 2.8289
1.9209 1.9209 2.8289
0.0000 0.0000 5.3626
```

Main lines, by angle (2θ from 15° to 90°):
| Position (°2θ) | I/Imax |
| --- | --- |
| 22.5 | 33.7 |
| 27.7 | 100.0 |
| 31.7 | 34.2 |
| 32.2 | 66.7 |
| 45.9 | 47.7 |
| 46.2 | 23.7 |
| 54.7 | 27.9 |
| 57.2 | 24.4 |

Starting from DFT lattice parameters and positions (GGA-PBE), the powder XRD pattern of Tb3Pm6Y2 was calculated for copper Kα.
Peak positions follow from Bragg's law for the DFT cell and can differ from measured ones.

Structure:
```
Tb3Pm6Y2
1.0
1.8070 1.0433 32.3361
-1.8070 1.0433 32.3361
0.0000 -2.0866 32.3361
Tb Pm Y
3 6 2
Cartesian
0.0000 0.0000 0.0000
0.0000 0.0000 26.4779
0.0000 0.0000 70.5305
0.0000 0.0000 8.7882
0.0000 0.0000 17.6675
0.0000 0.0000 35.2663
0.0000 0.0000 61.7421
0.0000 0.0000 79.3409
0.0000 0.0000 88.2202
0.0000 0.0000 44.0606
0.0000 0.0000 52.9478
```

Main lines, by angle (2θ from 15° to 90°):
| Position (°2θ) | I/Imax |
| --- | --- |
| 30.3 | 100.0 |
| 30.4 | 33.0 |
| 35.2 | 67.2 |
| 50.5 | 24.2 |
| 50.6 | 23.7 |
| 60.1 | 42.6 |
| 60.2 | 14.0 |
| 63.0 | 12.5 |

Starting from DFT lattice parameters and positions (GGA-PBE), the powder XRD pattern of AcCeNi2H6 was calculated for copper Kα.
Peak positions follow from Bragg's law for the DFT cell and can differ from measured ones.

Structure:
```
AcCeNi2H6
1.0
2.3223 1.3408 6.3786
-2.3223 1.3408 6.3786
0.0000 -2.6815 6.3786
Ac Ce Ni H
1 1 2 6
Cartesian
0.0000 0.0000 0.0000
0.0000 0.0000 9.5679
0.0000 0.0000 4.4465
0.0000 0.0000 14.6892
-1.0689 -0.6171 7.6563
0.0000 -1.2343 11.4794
-1.0689 0.6171 11.4794
1.0689 -0.6171 7.6563
0.0000 1.2343 7.6563
1.0689 0.6171 11.4794
```

Main lines, by angle (2θ from 15° to 90°):
| Position (°2θ) | I/Imax |
| --- | --- |
| 24.0 | 36.4 |
| 29.0 | 100.0 |
| 38.8 | 48.2 |
| 44.0 | 27.9 |
| 48.5 | 14.7 |
| 49.1 | 23.3 |
| 64.3 | 20.8 |
| 73.9 | 12.0 |

Starting from DFT lattice parameters and positions (GGA-PBE), the powder XRD pattern of EuSe was calculated for copper Kα.
Peak positions follow from Bragg's law for the DFT cell and can differ from measured ones.

Structure:
```
EuSe
1.0
6.1223 0.0000 0.0000
0.0000 6.1223 0.0000
0.0000 0.0000 6.1223
Eu Se
4 4
Cartesian
0.0000 0.0000 0.0000
0.0000 3.0612 3.0612
3.0612 0.0000 3.0612
3.0612 3.0612 0.0000
0.0000 0.0000 3.0612
0.0000 3.0612 0.0000
3.0612 0.0000 0.0000
3.0612 3.0612 3.0612
```

Main lines, by angle (2θ from 15° to 90°):
| Position (°2θ) | I/Imax |
| --- | --- |
| 25.2 | 18.3 |
| 29.2 | 100.0 |
| 41.7 | 75.5 |
| 49.4 | 9.4 |
| 51.7 | 26.7 |
| 60.5 | 12.5 |
| 68.5 | 34.5 |
| 76.2 | 25.7 |

Starting from DFT lattice parameters and positions (GGA-PBE), the powder XRD pattern of BeTl7 was calculated for copper Kα.
Peak positions follow from Bragg's law for the DFT cell and can differ from measured ones.

Structure:
```
BeTl7
1.0
0.0000 4.8588 4.8588
4.8588 0.0000 4.8588
4.8588 4.8588 0.0000
Be Tl
1 7
Cartesian
0.0000 0.0000 0.0000
2.4294 2.4294 0.0000
2.4294 0.0000 2.4294
4.8588 2.4294 2.4294
0.0000 2.4294 2.4294
2.4294 4.8588 2.4294
2.4294 2.4294 4.8588
4.8588 4.8588 4.8588
```

Main lines, by angle (2θ from 15° to 90°):
| Position (°2θ) | I/Imax |
| --- | --- |
| 15.8 | 10.0 |
| 30.5 | 6.4 |
| 31.9 | 100.0 |
| 37.0 | 50.7 |
| 53.3 | 36.1 |
| 63.5 | 43.0 |
| 66.7 | 12.4 |
| 87.5 | 18.7 |

Starting from DFT lattice parameters and positions (GGA-PBE), the powder XRD pattern of PrY2Ga2Ag2 was calculated for copper Kα.
Peak positions follow from Bragg's law for the DFT cell and can differ from measured ones.

Structure:
```
PrY2Ga2Ag2
1.0
2.3285 1.3444 9.1191
-2.3285 1.3444 9.1191
0.0000 -2.6887 9.1191
Pr Y Ga Ag
1 2 2 2
Cartesian
0.0000 0.0000 0.0000
0.0000 0.0000 3.4667
0.0000 0.0000 23.8907
0.0000 0.0000 6.9742
0.0000 0.0000 20.3832
0.0000 0.0000 11.0727
0.0000 0.0000 16.2847
```

Main lines, by angle (2θ from 15° to 90°):
| Position (°2θ) | I/Imax |
| --- | --- |
| 27.5 | 25.2 |
| 31.9 | 63.1 |
| 34.4 | 66.7 |
| 38.7 | 100.0 |
| 52.7 | 19.3 |
| 64.9 | 26.7 |
| 67.2 | 18.1 |
| 70.0 | 16.5 |

Starting from DFT lattice parameters and positions (GGA-PBE), the powder XRD pattern of Li2Zn3Rh was calculated for copper Kα.
Peak positions follow from Bragg's law for the DFT cell and can differ from measured ones.

Structure:
```
Li2Zn3Rh
1.0
5.3180 0.0000 0.0000
2.1997 5.4174 0.0000
1.0032 1.5918 5.9980
Li Zn Rh
4 6 2
Cartesian
0.6760 0.8552 1.0160
2.9108 3.3523 1.0636
5.6101 3.6570 4.9344
7.8448 6.1540 4.9820
1.5240 2.1156 3.0768
3.0666 3.5234 4.7795
5.2389 6.3287 5.0546
3.2820 0.6806 0.9433
5.4543 3.4858 1.2185
6.9968 4.8936 2.9212
4.3195 5.0095 3.0606
4.2014 1.9997 2.9374
```

Main lines, by angle (2θ from 15° to 90°):
| Position (°2θ) | I/Imax |
| --- | --- |
| 18.0 | 60.5 |
| 39.5 | 100.0 |
| 40.2 | 81.3 |
| 41.0 | 96.6 |
| 41.5 | 86.0 |
| 45.4 | 65.4 |
| 45.9 | 64.5 |
| 50.2 | 46.2 |

Starting from DFT lattice parameters and positions (GGA-PBE), the powder XRD pattern of CsBS2 was calculated for copper Kα.
Peak positions follow from Bragg's law for the DFT cell and can differ from measured ones.

Structure:
```
CsBS2
1.0
5.8304 0.0000 0.0000
1.3198 5.6848 0.0000
0.0074 -0.0015 9.4865
Cs B S
2 2 4
Cartesian
0.0000 0.0000 0.0000
3.5382 2.8271 4.7435
3.5863 2.8487 9.4725
7.1060 5.6663 4.7284
0.8412 0.6876 5.9615
2.6956 2.1427 1.2199
4.4685 3.5567 8.2383
6.2202 4.9610 3.4953
```

Main lines, by angle (2θ from 15° to 90°):
| Position (°2θ) | I/Imax |
| --- | --- |
| 18.2 | 100.0 |
| 18.7 | 60.8 |
| 19.4 | 60.2 |
| 24.5 | 92.5 |
| 27.1 | 51.9 |
| 32.4 | 84.0 |
| 33.3 | 73.1 |
| 36.9 | 44.5 |

Starting from DFT lattice parameters and positions (GGA-PBE), the powder XRD pattern of FeCo5 was calculated for copper Kα.
Peak positions follow from Bragg's law for the DFT cell and can differ from measured ones.

Structure:
```
FeCo5
1.0
4.3282 0.0000 0.0000
-2.1641 3.7484 0.0000
0.0000 0.0000 4.0667
Fe Co
1 5
Cartesian
0.0000 0.0000 0.0000
-1.4355 2.4863 2.0334
0.0000 2.4989 0.0000
0.7286 1.2620 2.0334
2.8710 0.0000 2.0334
2.1641 1.2495 0.0000
```

Main lines, by angle (2θ from 15° to 90°):
| Position (°2θ) | I/Imax |
| --- | --- |
| 41.7 | 25.0 |
| 44.6 | 27.3 |
| 47.6 | 100.0 |
| 62.7 | 13.6 |
| 76.2 | 14.5 |
| 84.3 | 16.5 |

Starting from DFT lattice parameters and positions (GGA-PBE), the powder XRD pattern of Tm3Tl3GaS8 was calculated for copper Kα.
Peak positions follow from Bragg's law for the DFT cell and can differ from measured ones.

Structure:
```
Tm3Tl3GaS8
1.0
6.7648 -3.9059 0.0000
6.7648 3.9059 0.0000
-4.5001 0.0000 7.3716
Tm Tl Ga S
3 3 1 8
Cartesian
0.0000 0.0000 0.0000
3.3824 1.9529 0.0000
3.3824 -1.9529 0.0000
1.1324 1.9529 3.6858
1.1324 -1.9529 3.6858
4.5148 0.0000 3.6858
6.7648 0.0000 0.0000
2.2556 0.0000 1.4742
5.7055 1.8354 1.4004
0.1423 0.0000 5.9695
3.3240 1.8354 5.9712
5.7055 -1.8354 1.4004
8.8872 0.0000 1.4022
3.3240 -1.8354 5.9712
6.7740 0.0000 5.8974
```

Main lines, by angle (2θ from 15° to 90°):
| Position (°2θ) | I/Imax |
| --- | --- |
| 15.4 | 22.2 |
| 24.1 | 29.0 |
| 27.6 | 55.9 |
| 31.0 | 100.0 |
| 42.2 | 37.9 |
| 46.5 | 33.2 |
| 49.2 | 19.1 |
| 56.9 | 17.3 |

Starting from DFT lattice parameters and positions (GGA-PBE), the powder XRD pattern of EuEr2 was calculated for copper Kα.
Peak positions follow from Bragg's law for the DFT cell and can differ from measured ones.

Structure:
```
EuEr2
1.0
3.6127 0.0000 0.0000
0.0000 3.6127 0.0000
0.0000 0.0000 15.3354
Eu Er
2 4
Cartesian
0.0000 0.0000 0.0000
1.8064 1.8064 7.6677
0.0000 0.0000 4.9797
0.0000 0.0000 10.3557
1.8064 1.8064 2.6880
1.8064 1.8064 12.6475
```

Main lines, by angle (2θ from 15° to 90°):
| Position (°2θ) | I/Imax |
| --- | --- |
| 30.3 | 100.0 |
| 35.1 | 50.5 |
| 50.5 | 35.3 |
| 60.0 | 41.3 |
| 63.0 | 11.8 |
| 74.2 | 5.4 |
| 82.2 | 16.3 |
| 84.9 | 15.2 |

What did the fourth record say?
Starting from DFT lattice parameters and positions (GGA-PBE), the powder XRD pattern of EuSe was calculated for copper Kα.
Peak positions follow from Bragg's law for the DFT cell and can differ from measured ones.

Structure:
```
EuSe
1.0
6.1223 0.0000 0.0000
0.0000 6.1223 0.0000
0.0000 0.0000 6.1223
Eu Se
4 4
Cartesian
0.0000 0.0000 0.0000
0.0000 3.0612 3.0612
3.0612 0.0000 3.0612
3.0612 3.0612 0.0000
0.0000 0.0000 3.0612
0.0000 3.0612 0.0000
3.0612 0.0000 0.0000
3.0612 3.0612 3.0612
```

Main lines, by angle (2θ from 15° to 90°):
| Position (°2θ) | I/Imax |
| --- | --- |
| 25.2 | 18.3 |
| 29.2 | 100.0 |
| 41.7 | 75.5 |
| 49.4 | 9.4 |
| 51.7 | 26.7 |
| 60.5 | 12.5 |
| 68.5 | 34.5 |
| 76.2 | 25.7 |

Q: Number 4 is which compound?
A: EuSe

Please write out number 11 again, unchanged.
Starting from DFT lattice parameters and positions (GGA-PBE), the powder XRD pattern of EuEr2 was calculated for copper Kα.
Peak positions follow from Bragg's law for the DFT cell and can differ from measured ones.

Structure:
```
EuEr2
1.0
3.6127 0.0000 0.0000
0.0000 3.6127 0.0000
0.0000 0.0000 15.3354
Eu Er
2 4
Cartesian
0.0000 0.0000 0.0000
1.8064 1.8064 7.6677
0.0000 0.0000 4.9797
0.0000 0.0000 10.3557
1.8064 1.8064 2.6880
1.8064 1.8064 12.6475
```

Main lines, by angle (2θ from 15° to 90°):
| Position (°2θ) | I/Imax |
| --- | --- |
| 30.3 | 100.0 |
| 35.1 | 50.5 |
| 50.5 | 35.3 |
| 60.0 | 41.3 |
| 63.0 | 11.8 |
| 74.2 | 5.4 |
| 82.2 | 16.3 |
| 84.9 | 15.2 |